Starting from a PBE+U-relaxed structure, the X-ray diffraction stick pattern of LiNiP3O9 was calculated for Cu Ka.
No peak broadening, texture or thermal motion is included.

Peak list (10 most intense, 10° ≤ 2θ ≤ 90°, by intensity)
2theta, Rel. int.
17.27, 100.0
14.30, 87.2
24.12, 72.0
17.53, 52.2
30.47, 52.0
34.95, 21.0
31.57, 19.4
14.62, 17.7
32.02, 15.2
27.33, 13.8

Structure:
```
LiNiP3O9
1.0
9.184 0.000 0.000
0.000 7.203 0.000
0.000 0.000 12.119
Li Ni P O
4 4 12 36
Direct
0.055 0.250 0.009 Li
0.445 0.750 0.509 Li
0.555 0.250 0.491 Li
0.945 0.750 0.991 Li
0.022 0.750 0.781 Ni
0.478 0.250 0.281 Ni
0.522 0.750 0.719 Ni
0.978 0.250 0.219 Ni
0.200 0.250 0.451 P
0.250 0.043 0.648 P
0.250 0.457 0.648 P
0.250 0.543 0.148 P
0.250 0.957 0.148 P
0.300 0.750 0.951 P
0.700 0.250 0.049 P
0.750 0.043 0.852 P
0.750 0.457 0.852 P
0.750 0.543 0.352 P
0.750 0.957 0.352 P
0.800 0.750 0.549 P
0.094 0.250 0.359 O
0.111 0.061 0.122 O
0.111 0.439 0.122 O
0.138 0.750 0.929 O
0.146 0.532 0.731 O
0.146 0.968 0.731 O
0.165 0.077 0.533 O
0.165 0.423 0.533 O
0.201 0.750 0.185 O
0.299 0.250 0.685 O
0.335 0.577 0.033 O
0.335 0.923 0.033 O
0.354 0.032 0.231 O
0.354 0.468 0.231 O
0.362 0.250 0.429 O
0.389 0.561 0.622 O
0.389 0.939 0.622 O
0.406 0.750 0.859 O
0.594 0.250 0.141 O
0.611 0.061 0.378 O
0.611 0.439 0.378 O
0.638 0.750 0.571 O
0.646 0.532 0.769 O
0.646 0.968 0.769 O
0.665 0.077 0.967 O
0.665 0.423 0.967 O
0.701 0.750 0.315 O
0.799 0.250 0.815 O
0.835 0.577 0.467 O
0.835 0.923 0.467 O
0.854 0.032 0.269 O
0.854 0.468 0.269 O
0.862 0.250 0.071 O
0.889 0.561 0.878 O
0.889 0.939 0.878 O
0.906 0.750 0.641 O
```